No. 1
For YNO, a structure optimized by DFT (PBE) gives the simulated powder X-ray diffraction pattern in this record (CuKα).

Crystal structure
a b c (Å): 6.6551 3.7412 6.6088
angles (deg): 90.00 97.36 90.00
Space group C2/m (No. 12)
Inequivalent atoms, fractional coordinates:
Y  0.1940  0.0000  0.2208 x4
N  0.0698  0.5000  0.4435 x4
O  0.1472  0.0000  0.8627 x4

Largest 10 diffraction maxima, by intensity, 10 to 90 degrees two-theta:
2θ (°)  I/Imax  (hkl)
29.87  1000  1 1 -1
48.70  468  0 2 0
27.21  407  0 0 2
27.02  297  2 0 0
47.97  261  3 1 0
31.89  244  2 0 1
41.28  214  2 0 2
31.45  209  1 1 1
40.27  176  1 1 2
36.06  161  2 0 -2

No. 2
For Y6N2O5, a structure optimized by DFT (PBE) gives the simulated powder X-ray diffraction pattern in this record (CuKα).

Crystal structure
a b c (Å): 10.8549 4.7932 7.6176
angles (deg): 90.00 98.48 90.00
Space group C2/m (No. 12)
Inequivalent atoms, fractional coordinates:
Y  0.0652  0.0000  0.2161 x4
Y  0.1453  0.5000  0.9235 x4
Y  0.2092  0.0000  0.6396 x4
N  0.1424  0.0000  0.9244 x4
O  0.0000  0.0000  0.5000 x2
O  0.0798  0.5000  0.2020 x4
O  0.2286  0.5000  0.6452 x4

Largest 10 diffraction maxima, by intensity, 10 to 90 degrees two-theta:
2θ (°)  I/Imax  (hkl)
53.88  1000  2 0 4
32.06  840  3 1 -1
32.27  826  1 1 2
37.18  641  4 0 1
37.22  629  2 0 -3
37.53  623  0 2 0
63.73  250  5 1 -4
64.12  241  1 1 -5
53.34  199  6 0 -2
67.54  192  2 2 4

No. 3
For Zn6NO6, a structure optimized by DFT (PBE) gives the simulated powder X-ray diffraction pattern in this record (CuKα).

Crystal structure
a b c (Å): 5.6777 5.6777 5.6777
angles (deg): 90.00 90.00 90.00
Space group Pm-3 (No. 200)
Inequivalent atoms, fractional coordinates:
Zn  0.0000  0.2488  0.5000 x6
N  0.0000  0.0000  0.0000 x1
O  0.0000  0.5000  0.2515 x6

Largest 10 diffraction maxima, by intensity, 10 to 90 degrees two-theta:
2θ (°)  I/Imax  (hkl)
35.35  1000  2 1 0
22.14  925  1 1 0
38.85  562  2 1 1
56.11  434  2 2 2
31.51  258  2 0 0
61.07  257  3 1 2
58.62  239  3 0 2
76.96  214  4 2 1
65.79  207  4 0 0
50.86  183  3 0 1

No. 4
For Zn3NO3, a structure optimized by DFT (PBE) gives the simulated powder X-ray diffraction pattern in this record (CuKα).

Crystal structure
a b c (Å): 5.6845 5.6845 5.6845
angles (deg): 90.00 90.00 90.00
Space group Pm-3n (No. 223)
Inequivalent atoms, fractional coordinates:
Zn  0.0000  0.2500  0.5000 x6
N  0.0000  0.0000  0.0000 x2
O  0.0000  0.5000  0.2500 x6

Largest 10 diffraction maxima, by intensity, 10 to 90 degrees two-theta:
2θ (°)  I/Imax  (hkl)
35.31  1000  2 1 0
22.11  763  1 1 0
38.80  646  2 1 1
56.04  418  2 2 2
31.48  299  2 0 0
60.99  289  3 2 1
58.55  240  3 2 0
65.70  217  4 0 0
76.85  215  4 2 1
50.79  158  3 1 0

No. 5
For Zr6NO, a structure optimized by DFT (PBE) gives the simulated powder X-ray diffraction pattern in this record (CuKα).

Crystal structure
a b c (Å): 5.6759 5.6759 10.5213
angles (deg): 90.00 90.00 120.00
Space group P-31c (No. 163)
Inequivalent atoms, fractional coordinates:
Zr  0.0095  0.3303  0.1234 x12
N  0.0000  0.0000  0.0000 x2
O  0.3333  0.6667  0.2500 x2

Largest 10 diffraction maxima, by intensity, 10 to 90 degrees two-theta:
2θ (°)  I/Imax  (hkl)
35.96  1000  1 1 2
34.09  232  0 0 4
62.23  192  1 1 6
56.13  190  3 0 0
31.52  189  1 1 0
47.11  184  2 -1 4
67.33  181  3 0 4
68.49  139  4 -2 2
88.68  71  4 -2 6
76.24  39  2 2 4

No. 6
For Zr9N3O, a structure optimized by DFT (PBE) gives the simulated powder X-ray diffraction pattern in this record (CuKα).

Crystal structure
a b c (Å): 8.7117 9.7655 5.3607
angles (deg): 90.00 90.00 90.00
Space group Pmma (No. 51)
Inequivalent atoms, fractional coordinates:
Zr  0.0787  0.1651  0.2488 x8
Zr  0.0839  0.5000  0.2480 x4
Zr  0.2500  0.0000  0.7070 x2
Zr  0.2500  0.3254  0.7998 x4
N  0.0000  0.0000  0.5000 x2
N  0.0000  0.3393  0.0000 x4
O  0.2500  0.5000  0.5612 x2

Largest 10 diffraction maxima, by intensity, 10 to 90 degrees two-theta:
2θ (°)  I/Imax  (hkl)
35.15  1000  3 0 1
33.82  903  1 3 1
33.43  451  0 0 2
34.39  410  2 3 0
48.72  366  2 3 2
68.35  265  3 6 1
62.94  171  5 3 1
56.53  155  0 6 0
50.41  147  4 3 0
60.87  145  3 0 3

No. 7
For Zr6NO2, a structure optimized by DFT (PBE) gives the simulated powder X-ray diffraction pattern in this record (CuKα).

Crystal structure
a b c (Å): 5.2116 5.6982 9.8615
angles (deg): 90.00 90.00 90.00
Space group Pnnm (No. 58)
Inequivalent atoms, fractional coordinates:
Zr  0.2447  0.1753  0.0000 x4
Zr  0.2476  0.1603  0.3324 x8
N  0.0000  0.0000  0.5000 x2
O  0.0000  0.5000  0.3375 x4

Largest 10 diffraction maxima, by intensity, 10 to 90 degrees two-theta:
2θ (°)  I/Imax  (hkl)
35.93  1000  1 2 0
34.42  211  2 0 0
55.92  204  0 0 6
47.28  199  2 1 3
62.64  188  3 2 0
67.34  174  2 0 6
31.41  165  0 1 3
68.28  143  1 2 6
88.86  71  3 2 6
76.19  43  2 4 0

No. 8
For POsN, a structure optimized by DFT (PBE) gives the simulated powder X-ray diffraction pattern in this record (CuKα).

Crystal structure
a b c (Å): 2.6643 2.9538 9.6994
angles (deg): 90.00 90.00 90.00
Space group Imm2 (No. 44)
Inequivalent atoms, fractional coordinates:
P  0.0000  0.0000  0.0000 x2
Os  0.0000  0.5000  0.8190 x2
N  0.0000  0.5000  0.6049 x2

Largest 10 diffraction maxima, by intensity, 10 to 90 degrees two-theta:
2θ (°)  I/Imax  (hkl)
18.29  1000  0 0 2
31.67  759  0 1 1
34.92  733  1 0 1
49.78  514  1 1 2
41.40  485  0 1 3
60.39  302  1 1 4
37.07  276  0 0 4
45.87  240  1 1 0
44.04  213  1 0 3
58.89  196  1 0 5

No. 9
For Pa3OsN6, a structure optimized by DFT (PBE) gives the simulated powder X-ray diffraction pattern in this record (CuKα).

Crystal structure
a b c (Å): 9.2325 11.0408 5.4415
angles (deg): 90.00 90.00 90.00
Space group Cmc2_1 (No. 36)
Inequivalent atoms, fractional coordinates:
Pa  0.0000  0.1111  0.0000 x4
Pa  0.2065  0.3828  0.9528 x8
Os  0.0000  0.3741  0.4417 x4
N  0.0000  0.2760  0.7669 x4
N  0.0000  0.4895  0.1562 x4
N  0.1469  0.2489  0.2486 x8
N  0.1545  0.0110  0.7253 x8

Largest 10 diffraction maxima, by intensity, 10 to 90 degrees two-theta:
2θ (°)  I/Imax  (hkl)
30.11  1000  2 2 1
32.44  187  0 4 0
46.89  179  0 4 2
32.92  177  0 0 2
56.42  155  2 6 1
57.05  140  2 2 3
39.02  72  4 0 0
51.96  72  4 0 2
51.62  68  4 4 0
62.59  63  4 4 2

No. 10
For SrPa4Os3N12, a structure optimized by DFT (PBE) gives the simulated powder X-ray diffraction pattern in this record (CuKα).

Crystal structure
a b c (Å): 8.2484 8.2484 8.2484
angles (deg): 90.00 90.00 90.00
Space group Im-3 (No. 204)
Inequivalent atoms, fractional coordinates:
Sr  0.0000  0.0000  0.0000 x2
Pa  0.2500  0.2500  0.2500 x8
Os  0.0000  0.0000  0.5000 x6
N  0.0000  0.3217  0.1596 x24

Largest 10 diffraction maxima, by intensity, 10 to 90 degrees two-theta:
2θ (°)  I/Imax  (hkl)
30.66  1000  2 2 0
54.50  452  4 2 2
88.76  227  6 2 4
43.91  204  4 0 0
72.47  187  6 2 0
63.84  131  4 4 0
80.71  48  4 4 4
21.55  34  2 0 0
15.19  26  1 1 0
49.41  21  4 2 0

No. 11
For OsPdSN, a structure optimized by DFT (PBE) gives the simulated powder X-ray diffraction pattern in this record (CuKα).

Crystal structure
a b c (Å): 3.4116 3.7402 4.8201
angles (deg): 90.00 90.00 90.00
Space group Pmm2 (No. 25)
Inequivalent atoms, fractional coordinates:
Os  0.0000  0.0000  0.0000 x1
Pd  0.5000  0.5000  0.6388 x1
S  0.5000  0.0000  0.3167 x1
N  0.0000  0.5000  0.9565 x1

Largest 10 diffraction maxima, by intensity, 10 to 90 degrees two-theta:
2θ (°)  I/Imax  (hkl)
32.14  1000  1 0 1
30.25  939  0 1 1
35.62  568  1 1 0
18.41  386  0 0 1
52.53  358  1 1 2
59.55  357  1 2 1
40.38  335  1 1 1
69.33  329  1 2 2
62.92  323  2 1 1
46.11  286  1 0 2

No. 12
For PmPr2OsN4, a structure optimized by DFT (PBE) gives the simulated powder X-ray diffraction pattern in this record (CuKα).

Crystal structure
a b c (Å): 3.5012 12.1145 12.2892
angles (deg): 90.00 90.00 90.00
Space group Cmcm (No. 63)
Inequivalent atoms, fractional coordinates:
Pm  0.0000  0.1236  0.2500 x4
Pr  0.0000  0.3677  0.0413 x8
Os  0.0000  0.1479  0.7500 x4
N  0.0000  0.0000  0.0000 x4
N  0.0000  0.2742  0.6388 x8
N  0.0000  0.4285  0.2500 x4

Largest 10 diffraction maxima, by intensity, 10 to 90 degrees two-theta:
2θ (°)  I/Imax  (hkl)
37.00  1000  1 3 2
30.29  896  1 1 2
29.49  573  0 4 0
29.06  456  0 0 4
41.88  307  0 4 4
61.67  272  1 7 2
52.27  233  2 0 0
61.16  210  2 4 0
16.31  184  0 2 1
69.12  180  2 4 4